For NaCr2O3, a cell relaxed with GGA+U gives the computed PXRD pattern in this record (Cu Ka).
Intensities are scaled so that the largest is 100.

Cell and atoms:
a b c (Å): 5.495 3.011 8.229
angles (deg): 90.00 91.07 90.00
Fractional positions:
Na (0.093, 0.250, 0.350)
Na (0.907, 0.750, 0.650)
Cr (0.245, 0.250, 0.001)
Cr (0.398, 0.250, 0.663)
Cr (0.602, 0.750, 0.337)
Cr (0.755, 0.750, 0.999)
O (0.087, 0.750, 0.122)
O (0.277, 0.750, 0.524)
O (0.427, 0.750, 0.865)
O (0.573, 0.250, 0.135)
O (0.723, 0.250, 0.476)
O (0.913, 0.250, 0.878)

Largest 10 diffraction maxima, by intensity, 2θ from 15° to 90°:
h k l	2theta	I (rel.)
2 0 1	34.6	100
1 1 -2	40.4	92
1 1 -3	47.6	89
0 0 3	32.6	70
2 0 -2	39.1	68
1 1 0	33.9	63
1 1 3	48.0	62
1 1 1	35.8	53
3 1 1	60.4	48
1 0 1	19.6	35